No. 1
Computed powder XRD pattern of AlRe12 for Cu Kα (weighted mean of Kα1 and Kα2), from a crystal structure in OQMD, relaxed with PBE.
Intensities are scaled so that the largest is 100.

Structural model:
abc: 5.0750 5.0750 26.6474
angles: 90.00 90.00 120.00
Space group R-3m (No. 166, hexagonal axes)
Symmetry-distinct sites (fractional):
Al  0.0000  0.0000  0.0000
Re  0.0000  0.0000  0.1713
Re  0.0000  0.0000  0.3466
Re  0.0000  0.0000  0.4526
Re  0.0020  0.5010  0.4120

Top 10 peaks for 2θ from 10° to 90°, in order of rising 2θ:
(hkl), Position (°2θ), I/Imax
1 1 0, 35.4, 43.8
1 0 10, 39.5, 62.0
0 0 12, 40.6, 27.9
1 1 6, 41.0, 100.0
0 2 1, 41.2, 83.7
0 1 11, 42.6, 61.4
0 2 4, 43.4, 36.5
2 0 5, 44.6, 58.3
1 2 11, 68.5, 30.8
2 2 0, 74.8, 48.9

***

No. 2
Computed powder XRD pattern of DyErAlOs2 for Cu Kα (weighted mean of Kα1 and Kα2), from a crystal structure in OQMD, relaxed with PBE.
Intensities are scaled so that the largest is 100.

Structural model:
abc: 4.1966 5.6067 8.6507
angles: 90.00 90.00 90.00
Space group Imm2 (No. 44)
Symmetry-distinct sites (fractional):
Dy  0.0000  0.0000  0.0000
Er  0.0000  0.0000  0.5943
Al  0.0000  0.5000  0.7972
Os  0.0000  0.2772  0.2971

Top 10 peaks for 2θ from 10° to 90°, in order of rising 2θ:
(hkl), Position (°2θ), I/Imax
1 0 1, 23.6, 54.6
1 1 0, 26.5, 36.4
1 1 2, 33.8, 92.3
1 0 3, 37.9, 93.5
0 2 2, 38.3, 89.5
1 2 1, 40.1, 100.0
0 0 4, 41.8, 27.1
2 0 0, 43.1, 47.8
2 2 2, 59.0, 51.4
1 2 5, 67.4, 48.0

***

No. 3
Computed powder XRD pattern of Ta7Te24I10 for Cu Kα (weighted mean of Kα1 and Kα2), from a crystal structure in OQMD, relaxed with PBE.
Intensities are scaled so that the largest is 100.

Structural model:
abc: 6.8838 8.0788 27.4726
angles: 95.85 90.60 101.69
Space group P-1 (No. 2)
Symmetry-distinct sites (fractional):
Ta  0.0000  0.0000  0.0000
Ta  0.1091  0.4372  0.2146
Ta  0.2503  0.9990  0.5002
Ta  0.3907  0.5647  0.7855
Te  0.0060  0.0136  0.5843
Te  0.0673  0.2802  0.4837
Te  0.0804  0.3155  0.7338
Te  0.0939  0.3543  0.8381
Te  0.1872  0.7694  0.7318
Te  0.2021  0.8212  0.8343
Te  0.2919  0.1562  0.2311
Te  0.3541  0.4318  0.1301
Te  0.3666  0.4527  0.2987
Te  0.4260  0.7174  0.1994
Te  0.4392  0.7493  0.4488
Te  0.4533  0.7909  0.5528
I  0.1022  0.4257  0.6248
I  0.1598  0.7353  0.9555
I  0.2387  0.0084  0.0830
I  0.2919  0.2316  0.9629
I  0.4604  0.8536  0.3371

Top 10 peaks for 2θ from 10° to 90°, in order of rising 2θ:
(hkl), Position (°2θ), I/Imax
0 1 -2, 12.4, 100.0
0 0 4, 13.0, 39.1
0 1 2, 13.6, 29.9
2 0 -1, 26.5, 20.8
1 0 8, 29.7, 23.9
-1 2 5, 30.0, 24.2
2 -1 5, 31.1, 20.6
2 1 -3, 31.9, 40.1
2 -2 3, 32.3, 22.5
4 -1 0, 53.2, 20.1

***

No. 4
Computed powder XRD pattern of TbBiSO2 for Cu Kα (weighted mean of Kα1 and Kα2), from a crystal structure in OQMD, relaxed with PBE.
Intensities are scaled so that the largest is 100.

Structural model:
abc: 3.8884 3.8884 6.7514
angles: 90.00 90.00 120.00
Space group P3m1 (No. 156)
Symmetry-distinct sites (fractional):
Tb  0.0000  0.0000  0.0000
Bi  0.6667  0.3333  0.4423
S  0.3333  0.6667  0.7284
O  0.0000  0.0000  0.3379
O  0.6667  0.3333  0.0849

Top 10 peaks for 2θ from 10° to 90°, in order of rising 2θ:
(hkl), Position (°2θ), I/Imax
0 0 2, 26.4, 44.6
1 0 1, 29.6, 100.0
0 1 2, 37.7, 29.5
1 1 0, 46.7, 29.3
1 0 3, 48.7, 27.2
1 1 2, 54.5, 23.2
0 2 1, 56.3, 17.3
0 1 4, 61.5, 15.1
2 1 1, 76.1, 14.8
2 0 4, 80.6, 10.7

***

No. 5
Computed powder XRD pattern of RbTb2CuTeS3 for Cu Kα (weighted mean of Kα1 and Kα2), from a crystal structure in OQMD, relaxed with PBE.
Intensities are scaled so that the largest is 100.

Structural model:
abc: 4.0991 14.1663 14.2237
angles: 90.00 90.00 90.00
Space group Cmcm (No. 63)
Symmetry-distinct sites (fractional):
Rb  0.0000  0.1344  0.2500
Tb  0.0000  0.3668  0.0512
Cu  0.0000  0.1665  0.7500
Te  0.0000  0.4432  0.2500
S  0.0000  0.0000  0.0000
S  0.0000  0.2513  0.6059

Top 10 peaks for 2θ from 10° to 90°, in order of rising 2θ:
(hkl), Position (°2θ), I/Imax
0 2 1, 14.0, 40.9
0 2 3, 22.6, 46.2
0 0 4, 25.0, 26.3
1 3 1, 29.5, 43.6
1 3 2, 31.5, 100.0
0 2 5, 34.0, 28.7
1 1 5, 39.1, 24.0
1 5 3, 43.2, 54.2
2 0 0, 44.2, 23.2
1 7 2, 52.0, 21.1

***

No. 6
Computed powder XRD pattern of HgPAuO for Cu Kα (weighted mean of Kα1 and Kα2), from a crystal structure in OQMD, relaxed with PBE.
Intensities are scaled so that the largest is 100.

Structural model:
abc: 3.2083 7.0950 6.4769
angles: 90.00 90.00 90.00
Space group Pmc2_1 (No. 26)
Symmetry-distinct sites (fractional):
Hg  0.0000  0.1851  0.0000
P  0.0000  0.4084  0.2909
Au  0.5000  0.2715  0.5163
O  0.5000  0.0869  0.7652

Top 10 peaks for 2θ from 10° to 90°, in order of rising 2θ:
(hkl), Position (°2θ), I/Imax
0 2 0, 25.1, 34.4
0 0 2, 27.5, 35.7
0 2 1, 28.7, 23.5
1 1 1, 33.6, 100.0
0 2 2, 37.6, 31.2
1 3 0, 47.8, 9.1
1 3 1, 49.9, 15.8
1 1 3, 52.7, 30.0
1 3 2, 56.0, 12.2
2 2 2, 70.7, 10.0

***

Copy entry 4 word for word.
Computed powder XRD pattern of TbBiSO2 for Cu Kα (weighted mean of Kα1 and Kα2), from a crystal structure in OQMD, relaxed with PBE.
Intensities are scaled so that the largest is 100.

Structural model:
abc: 3.8884 3.8884 6.7514
angles: 90.00 90.00 120.00
Space group P3m1 (No. 156)
Symmetry-distinct sites (fractional):
Tb  0.0000  0.0000  0.0000
Bi  0.6667  0.3333  0.4423
S  0.3333  0.6667  0.7284
O  0.0000  0.0000  0.3379
O  0.6667  0.3333  0.0849

Top 10 peaks for 2θ from 10° to 90°, in order of rising 2θ:
(hkl), Position (°2θ), I/Imax
0 0 2, 26.4, 44.6
1 0 1, 29.6, 100.0
0 1 2, 37.7, 29.5
1 1 0, 46.7, 29.3
1 0 3, 48.7, 27.2
1 1 2, 54.5, 23.2
0 2 1, 56.3, 17.3
0 1 4, 61.5, 15.1
2 1 1, 76.1, 14.8
2 0 4, 80.6, 10.7